Record 1
Calculated XRD peak list
Compound: YAl8Rh4
Radiation: Cu Kα
Structure: a structure optimized by DFT (PBE)
Intensities are scaled so that the largest is 100.

```
YAl8Rh4
1.0
-4.340 4.340 2.737
4.340 -4.340 2.737
4.340 4.340 -2.737
Y Al Rh
1 8 4
direct
0.000 0.000 0.000 Y
0.000 0.343 0.343 Al
0.000 0.657 0.657 Al
0.275 0.500 0.775 Al
0.343 0.000 0.343 Al
0.500 0.275 0.775 Al
0.500 0.725 0.225 Al
0.657 0.000 0.657 Al
0.725 0.500 0.225 Al
0.000 0.000 0.500 Rh
0.000 0.500 0.000 Rh
0.500 0.000 0.000 Rh
0.500 0.500 0.500 Rh
```

Main lines, low angle first (15° ≤ 2θ ≤ 90°):
d_spacing, two_theta, intensity
4.340, 20.5, 78
3.069, 29.1, 49
2.315, 38.9, 100
2.204, 41.0, 22
2.170, 41.6, 54
2.043, 44.3, 54
1.941, 46.8, 35
1.583, 58.3, 40
1.279, 74.1, 20
1.102, 88.8, 18

---

Record 2
Calculated XRD peak list
Compound: AlZnRh4
Radiation: Cu Kα
Structure: a structure optimized by DFT (PBE)
Intensities are scaled so that the largest is 100.

```
AlZnRh4
1.0
0.000 3.602 3.602
3.602 0.000 3.602
3.602 3.602 0.000
Al Zn Rh
1 1 4
direct
0.000 0.000 0.000 Al
0.250 0.250 0.250 Zn
0.125 0.625 0.625 Rh
0.625 0.125 0.625 Rh
0.625 0.625 0.125 Rh
0.625 0.625 0.625 Rh
```

Main lines, low angle first (15° ≤ 2θ ≤ 90°):
d_spacing, two_theta, intensity
4.159, 21.4, 51
2.547, 35.2, 10
2.172, 41.6, 100
2.079, 43.5, 66
1.801, 50.7, 18
1.653, 55.6, 11
1.386, 67.6, 30
1.273, 74.5, 29
1.218, 78.6, 8
1.099, 89.1, 11

---

Record 3
Calculated XRD peak list
Compound: Al2ZnRh4
Radiation: Cu Kα
Structure: a structure optimized by DFT (PBE)
Intensities are scaled so that the largest is 100.

```
Al2ZnRh4
1.0
-2.961 2.961 2.949
2.961 -2.961 2.949
2.961 2.961 -2.949
Al Zn Rh
2 1 4
direct
0.000 0.500 0.500 Al
0.500 0.000 0.500 Al
0.000 0.000 0.000 Zn
0.000 0.000 0.500 Rh
0.000 0.500 0.000 Rh
0.500 0.000 0.000 Rh
0.500 0.500 0.500 Rh
```

Main lines, low angle first (15° ≤ 2θ ≤ 90°):
d_spacing, two_theta, intensity
4.179, 21.3, 8
2.961, 30.2, 27
2.949, 30.3, 13
2.091, 43.3, 100
1.707, 53.7, 10
1.480, 62.8, 11
1.474, 63.0, 5
1.324, 71.2, 9
1.208, 79.3, 22
1.206, 79.5, 11

---

Record 4
Calculated XRD peak list
Compound: Zr3Al8Rh4
Radiation: Cu Kα
Structure: a structure optimized by DFT (PBE)
Intensities are scaled so that the largest is 100.

```
Zr3Al8Rh4
1.0
0.000 6.221 6.221
6.221 0.000 6.221
6.221 6.221 0.000
Zr Al Rh
6 16 8
direct
0.210 0.210 0.790 Zr
0.210 0.790 0.210 Zr
0.210 0.790 0.790 Zr
0.790 0.210 0.210 Zr
0.790 0.210 0.790 Zr
0.790 0.790 0.210 Zr
0.137 0.621 0.621 Al
0.164 0.164 0.164 Al
0.164 0.164 0.508 Al
0.164 0.508 0.164 Al
0.379 0.379 0.379 Al
0.379 0.379 0.863 Al
0.379 0.863 0.379 Al
0.492 0.836 0.836 Al
0.508 0.164 0.164 Al
0.621 0.137 0.621 Al
0.621 0.621 0.137 Al
0.621 0.621 0.621 Al
0.836 0.492 0.836 Al
0.836 0.836 0.492 Al
0.836 0.836 0.836 Al
0.863 0.379 0.379 Al
0.000 0.000 0.000 Rh
0.000 0.000 0.500 Rh
0.000 0.500 0.000 Rh
0.000 0.500 0.500 Rh
0.500 0.000 0.000 Rh
0.500 0.000 0.500 Rh
0.500 0.500 0.000 Rh
0.500 0.500 0.500 Rh
```

Main lines, low angle first (15° ≤ 2θ ≤ 90°):
d_spacing, two_theta, intensity
3.592, 24.8, 13
3.110, 28.7, 56
2.394, 37.6, 28
2.199, 41.0, 100
1.876, 48.5, 17
1.796, 50.8, 12
1.555, 59.4, 12
1.391, 67.3, 15
1.270, 74.8, 19
1.197, 80.2, 9

---

What did the third record say?
Calculated XRD peak list
Compound: Al2ZnRh4
Radiation: Cu Kα
Structure: a structure optimized by DFT (PBE)
Intensities are scaled so that the largest is 100.

```
Al2ZnRh4
1.0
-2.961 2.961 2.949
2.961 -2.961 2.949
2.961 2.961 -2.949
Al Zn Rh
2 1 4
direct
0.000 0.500 0.500 Al
0.500 0.000 0.500 Al
0.000 0.000 0.000 Zn
0.000 0.000 0.500 Rh
0.000 0.500 0.000 Rh
0.500 0.000 0.000 Rh
0.500 0.500 0.500 Rh
```

Main lines, low angle first (15° ≤ 2θ ≤ 90°):
d_spacing, two_theta, intensity
4.179, 21.3, 8
2.961, 30.2, 27
2.949, 30.3, 13
2.091, 43.3, 100
1.707, 53.7, 10
1.480, 62.8, 11
1.474, 63.0, 5
1.324, 71.2, 9
1.208, 79.3, 22
1.206, 79.5, 11